[1]
Computed powder diffraction line list
Compound: TlGePt3
Radiation: Cu Ka
Structure: the GGA-PBE geometry in Alexandria

Peak list (12 most intense, 2θ from 10° to 90°, in order of rising 2θ)
d_spacing  I_rel
5.120  27
3.468  31
2.852  47
2.506  81
2.454  25
2.309  99
2.212  100
2.200  34
2.031  24
1.883  19
1.430  21
1.361  22

Atomic structure:
```
20
Lattice="7.6144 0.0000 0.0000 0.0000 6.9351 0.0000 -0.5826 0.0000 7.1684" Properties=species:S:1:pos:R:3 pbc="T T T"
Tl 0.2839 0.9133 1.4287
Tl -0.0074 2.5543 5.0129
Tl 7.0392 4.3808 2.1556
Tl 6.7479 6.0218 5.7398
Ge 2.4388 5.0321 3.8117
Ge 2.7302 5.3705 0.2275
Ge 4.3016 1.5646 6.9409
Ge 4.5929 1.9029 3.3567
Pt 1.0613 0.1368 4.1282
Pt 1.3526 3.3307 0.5440
Pt 1.8499 0.8084 6.7451
Pt 2.1412 2.6591 3.1609
Pt 2.8506 3.5090 5.8160
Pt 3.1419 6.8937 2.2318
Pt 3.8899 0.0414 4.9366
Pt 4.1812 3.4261 1.3524
Pt 4.8906 4.2760 4.0075
Pt 5.1819 6.1266 0.4233
Pt 5.6792 3.6044 6.6245
Pt 5.9705 6.7983 3.0402
```

=====

[2]
Computed powder diffraction line list
Compound: Tm3Ge2Pt6
Radiation: Cu Ka
Structure: the GGA-PBE geometry in Alexandria

Peak list (12 most intense, 2θ from 10° to 90°, in order of rising 2θ)
d_spacing  I_rel
6.686  22
3.343  10
2.990  15
2.527  30
2.364  13
2.229  100
2.114  7
1.576  12
1.534  16
1.425  10
1.287  27
1.114  10

Atomic structure:
```
22
Lattice="-4.7274 4.7274 4.7274 4.7274 -4.7274 4.7274 4.7274 4.7274 -4.7274" Properties=species:S:1:pos:R:3 pbc="T T T"
Tm 2.7867 0.0000 0.0000
Tm 6.6682 0.0000 0.0000
Tm 0.0000 2.7867 0.0000
Tm 0.0000 0.0000 2.7867
Tm 0.0000 6.6682 0.0000
Tm 0.0000 0.0000 6.6682
Ge 2.3637 2.3637 -2.3637
Ge 2.3637 -2.3637 2.3637
Ge -2.3637 2.3637 2.3637
Ge 2.3637 2.3637 2.3637
Pt 4.7274 1.6668 -1.6668
Pt 4.7274 -1.6668 1.6668
Pt 1.6668 4.7274 -1.6668
Pt 3.0606 3.0606 0.0000
Pt 3.0606 0.0000 3.0606
Pt 1.6668 -1.6668 4.7274
Pt 4.7274 1.6668 1.6668
Pt 0.0000 3.0606 3.0606
Pt -1.6668 4.7274 1.6668
Pt -1.6668 1.6668 4.7274
Pt 1.6668 4.7274 1.6668
Pt 1.6668 1.6668 4.7274
```

=====

[3]
Computed powder diffraction line list
Compound: Tm3Ge6Pt20
Radiation: Cu Ka
Structure: the GGA-PBE geometry in Alexandria

Peak list (12 most intense, 2θ from 10° to 90°, in order of rising 2θ)
d_spacing  I_rel
2.804  14
2.560  20
2.413  100
2.217  32
2.120  34
2.090  17
1.891  14
1.478  23
1.448  15
1.376  9
1.280  23
1.096  9

Atomic structure:
```
29
Lattice="0.0000 6.2702 6.2702 6.2702 0.0000 6.2702 6.2702 6.2702 0.0000" Properties=species:S:1:pos:R:3 pbc="T T T"
Tm 0.0000 0.0000 0.0000
Tm 3.1351 3.1351 3.1351
Tm 9.4053 9.4053 9.4053
Ge 6.2702 6.2702 3.3853
Ge 6.2702 3.3853 6.2702
Ge 9.1550 6.2702 6.2702
Ge 3.3853 6.2702 6.2702
Ge 6.2702 9.1550 6.2702
Ge 6.2702 6.2702 9.1550
Pt 2.1690 2.1690 0.0000
Pt 4.1011 4.1011 0.0000
Pt 2.1690 0.0000 2.1690
Pt 6.2702 4.1011 2.1690
Pt 4.1011 0.0000 4.1011
Pt 6.2702 2.1690 4.1011
Pt 7.7833 4.7571 4.7571
Pt 0.0000 2.1690 2.1690
Pt 4.1011 6.2702 2.1690
Pt 4.1011 2.1690 6.2702
Pt 4.7571 4.7571 4.7571
Pt 7.7833 7.7833 4.7571
Pt 7.7833 4.7571 7.7833
Pt 4.7571 7.7833 4.7571
Pt 4.7571 4.7571 7.7833
Pt 7.7833 7.7833 7.7833
Pt 0.0000 4.1011 4.1011
Pt 2.1690 6.2702 4.1011
Pt 2.1690 4.1011 6.2702
Pt 4.7571 7.7833 7.7833
```

=====

[4]
Computed powder diffraction line list
Compound: Tm2Ge5Pt3
Radiation: Cu Ka
Structure: the GGA-PBE geometry in Alexandria

Peak list (12 most intense, 2θ from 10° to 90°, in order of rising 2θ)
d_spacing  I_rel
3.512  22
3.346  18
2.654  17
2.580  100
2.525  62
2.299  30
2.291  22
2.155  48
1.993  28
1.918  20
1.572  18
1.384  17

Atomic structure:
```
20
Lattice="2.1548 -12.1698 0.0000 2.1548 12.1698 0.0000 0.0000 0.0000 7.0196" Properties=species:S:1:pos:R:3 pbc="T T T"
Tm 2.1548 11.6640 3.5098
Tm 2.1548 4.2221 3.5498
Tm 2.1548 -4.2221 0.0400
Tm 2.1548 -11.6640 0.0000
Ge 2.1548 9.6839 6.0059
Ge 2.1548 7.2149 2.2793
Ge 2.1548 7.0197 5.2054
Ge 2.1548 2.8943 6.8522
Ge 2.1548 1.1485 4.6266
Ge 2.1548 -1.1485 1.1168
Ge 2.1548 -2.8943 3.3424
Ge 2.1548 -7.0197 1.6956
Ge 2.1548 -7.2149 5.7891
Ge 2.1548 -9.6839 2.4961
Pt 2.1548 9.6253 1.5900
Pt 2.1548 5.4398 0.3265
Pt 2.1548 1.3241 1.9581
Pt 2.1548 -1.3241 5.4679
Pt 2.1548 -5.4398 3.8363
Pt 2.1548 -9.6253 5.0998
```